This entry pairs a crystal structure of In8TeIr2 with its theoretical X-ray diffraction stick pattern. Radiation: Cu Kα (weighted mean of Kα1 and Kα2). Structure: a structure optimized by DFT (PBE).

Atomic structure:
Cell lengths 10.1576, 10.1576, 10.3454 Å; angles 90.00, 90.00, 90.00 degrees
Element x y z (fractional)
In  0.0000  0.0000  0.1604
In  0.0000  0.0000  0.8396
In  0.0555  0.2907  0.2889
In  0.0555  0.2907  0.7111
In  0.0950  0.9050  0.5000
In  0.1924  0.8076  0.0000
In  0.2028  0.2028  0.0000
In  0.2093  0.5555  0.2111
In  0.2093  0.5555  0.7889
In  0.2907  0.0555  0.2889
In  0.2907  0.0555  0.7111
In  0.2972  0.7028  0.5000
In  0.3076  0.3076  0.5000
In  0.4050  0.4050  0.0000
In  0.4445  0.7907  0.2111
In  0.4445  0.7907  0.7889
In  0.5000  0.5000  0.3396
In  0.5000  0.5000  0.6604
In  0.5555  0.2093  0.2111
In  0.5555  0.2093  0.7889
In  0.5950  0.5950  0.0000
In  0.6924  0.6924  0.5000
In  0.7028  0.2972  0.5000
In  0.7093  0.9445  0.2889
In  0.7093  0.9445  0.7111
In  0.7907  0.4445  0.2111
In  0.7907  0.4445  0.7889
In  0.7972  0.7972  0.0000
In  0.8076  0.1924  0.0000
In  0.9050  0.0950  0.5000
In  0.9445  0.7093  0.2889
In  0.9445  0.7093  0.7111
Te  0.0000  0.5000  0.0000
Te  0.0000  0.5000  0.5000
Te  0.5000  0.0000  0.0000
Te  0.5000  0.0000  0.5000
Ir  0.1844  0.8156  0.2584
Ir  0.1844  0.8156  0.7416
Ir  0.3156  0.3156  0.2416
Ir  0.3156  0.3156  0.7584
Ir  0.6844  0.6844  0.2416
Ir  0.6844  0.6844  0.7584
Ir  0.8156  0.1844  0.2584
Ir  0.8156  0.1844  0.7416

The 8 most intense peaks (10° ≤ 2θ ≤ 90°), in order of falling intensity:
40.6°, I 100, (4 1 2); 32.6°, I 66, (2 1 3); 36.5°, I 58, (4 1 0); 34.7°, I 50, (0 0 4); 37.6°, I 38, (3 3 0); 19.5°, I 37, (2 1 0); 17.1°, I 35, (0 0 2); 64.5°, I 34, (5 3 4)